[1]
Ba3Li3Tl2: computed powder X-ray diffraction pattern (Cu Kα), based on a DFT-relaxed cell (PBE, Alexandria).
Neutral-atom scattering factors, no anomalous dispersion.

Largest 10 diffraction maxima, by angle, 2θ from 15° to 90°:
2θ (°)  Rel. int.
20.44  40
22.06  72
22.74  38
24.30  49
24.97  33
27.81  100
30.76  66
30.87  50
31.44  87
45.91  43

Structural model:
abc: 9.455 17.381 6.962
angles: 90.00 90.00 90.00
Fractional positions:
Ba 0.040 0.101 0.140
Ba 0.040 0.399 0.140
Ba 0.173 0.250 0.650
Ba 0.327 0.750 0.150
Ba 0.460 0.601 0.640
Ba 0.460 0.899 0.640
Ba 0.540 0.101 0.360
Ba 0.540 0.399 0.360
Ba 0.673 0.250 0.850
Ba 0.827 0.750 0.350
Ba 0.960 0.601 0.860
Ba 0.960 0.899 0.860
Li 0.160 0.750 0.596
Li 0.172 0.036 0.611
Li 0.172 0.464 0.611
Li 0.328 0.536 0.111
Li 0.328 0.964 0.111
Li 0.340 0.250 0.096
Li 0.660 0.750 0.904
Li 0.672 0.036 0.889
Li 0.672 0.464 0.889
Li 0.828 0.536 0.389
Li 0.828 0.964 0.389
Li 0.840 0.250 0.404
Tl 0.117 0.597 0.368
Tl 0.117 0.903 0.368
Tl 0.383 0.097 0.868
Tl 0.383 0.403 0.868
Tl 0.617 0.597 0.132
Tl 0.617 0.903 0.132
Tl 0.883 0.097 0.632
Tl 0.883 0.403 0.632

---

[2]
KTaIrO6: computed powder X-ray diffraction pattern (Cu Kα), based on a DFT-relaxed cell (PBE, Alexandria).
Neutral-atom scattering factors, no anomalous dispersion.

Largest 10 diffraction maxima, by angle, 2θ from 15° to 90°:
2θ (°)  Rel. int.
19.28  40
24.34  100
29.69  21
33.72  52
36.97  62
42.03  19
45.54  67
54.93  20
57.57  24
62.46  17

Structural model:
abc: 5.316 5.316 6.017
angles: 90.00 90.00 120.00
Fractional positions:
K 0.000 0.000 0.000
Ta 0.333 0.667 0.500
Ir 0.667 0.333 0.500
O 0.388 0.007 0.682
O 0.388 0.381 0.318
O 0.619 0.007 0.318
O 0.619 0.612 0.682
O 0.993 0.381 0.682
O 0.993 0.612 0.318

---

[3]
PrZn2SnIr: computed powder X-ray diffraction pattern (Cu Kα), based on a DFT-relaxed cell (PBE, Alexandria).
Neutral-atom scattering factors, no anomalous dispersion.

Largest 10 diffraction maxima, by angle, 2θ from 15° to 90°:
2θ (°)  Rel. int.
21.27  23
32.28  46
33.74  100
40.21  32
43.70  28
44.39  25
44.96  23
52.47  24
61.88  18
65.04  20

Structural model:
abc: 4.032 4.486 11.459
angles: 90.00 90.00 90.00
Fractional positions:
Pr 0.000 0.000 0.000
Pr 0.500 0.500 0.500
Zn 0.000 0.000 0.606
Zn 0.000 0.500 0.236
Zn 0.500 0.000 0.736
Zn 0.500 0.500 0.106
Sn 0.000 0.000 0.370
Sn 0.500 0.500 0.870
Ir 0.000 0.500 0.713
Ir 0.500 0.000 0.213

---

[4]
Cs2Tl5Pt4: computed powder X-ray diffraction pattern (Cu Kα), based on a DFT-relaxed cell (PBE, Alexandria).
Neutral-atom scattering factors, no anomalous dispersion.

Largest 10 diffraction maxima, by angle, 2θ from 15° to 90°:
2θ (°)  Rel. int.
20.48  38
27.25  68
27.78  36
32.07  40
35.92  48
36.89  100
38.64  36
39.09  40
43.97  48
50.17  35

Structural model:
abc: 7.506 7.506 8.262
angles: 111.60 111.60 57.97
Fractional positions:
Cs 0.154 0.154 0.481
Cs 0.846 0.846 0.519
Tl 0.114 0.596 0.930
Tl 0.404 0.886 0.070
Tl 0.500 0.500 0.500
Tl 0.596 0.114 0.930
Tl 0.886 0.404 0.070
Pt 0.309 0.309 0.175
Pt 0.477 0.477 0.811
Pt 0.523 0.523 0.189
Pt 0.691 0.691 0.825